# Na4MgSi2SnSO12
Simulated powder XRD pattern, a wavelength of 1.5418 Å. Input: DFT lattice parameters and positions (GGA-PBE).

Atomic structure:
Lattice parameters (Å, degrees): 15.7006 9.1857 9.1790 90.00 125.68 90.00
Space group Cc (No. 9)
Asymmetric unit:
1 Na 0.0000 0.0635 0.0000
2 Na 0.1559 0.3788 0.4693
3 Na 0.3637 0.0653 0.0026
4 Na 0.4297 0.2384 0.7459
5 Mg 0.0672 0.2493 0.6788
6 Si 0.0199 0.3978 0.9723
7 Si 0.1646 0.0488 0.4727
8 Sn 0.2664 0.2323 0.2813
9 S 0.3146 0.3979 0.9797
10 O 0.0124 0.4283 0.4950
11 O 0.0221 0.3680 0.8029
12 O 0.0896 0.1522 0.4971
13 O 0.0950 0.0552 0.8016
14 O 0.1243 0.3226 0.1619
15 O 0.2197 0.3343 0.8206
16 O 0.2523 0.0478 0.1568
17 O 0.2532 0.1548 0.4750
18 O 0.3165 0.3778 0.1456
19 O 0.3205 0.4403 0.4666
20 O 0.4056 0.3295 0.9985
21 O 0.4244 0.1957 0.4668

Top 8 peaks for 10° ≤ 2θ ≤ 90°, by angle:
h k l	Position (°2θ)	d_spacing	I (rel.)
1 1 -1	13.6	6.493	74
2 0 -2	19.3	4.591	46
1 1 1	19.5	4.551	100
3 1 -3	30.8	2.903	76
0 2 2	30.9	2.894	65
3 1 1	31.2	2.863	66
3 3 -1	33.9	2.643	78
6 2 -4	46.5	1.954	54